Record 1
This entry pairs a crystal structure of SmDy3Bi2 with its theoretical powder diffraction line list. Radiation: CuKα. Structure: a DFT-relaxed cell (GGA-PBE, Alexandria).

a b c (Å): 4.573 4.573 8.678
angles (deg): 90.00 90.00 90.00
Space group P-4m2 (No. 115)
Asymmetric unit:
Sm1 0.000 0.000 0.000 x1
Dy1 0.000 0.500 0.347 x2
Dy2 0.500 0.500 0.000 x1
Bi1 0.000 0.500 0.714 x2

Top 6 peaks for 5 to 70 degrees two-theta, sorted by position:
2θ 29.5, d = 3.030 Å, I = 83, (1 1 1)
2θ 30.9, d = 2.893 Å, I = 41, (0 0 3)
2θ 34.6, d = 2.593 Å, I = 100, (1 1 2)
2θ 39.4, d = 2.287 Å, I = 61, (2 0 0)
2θ 50.9, d = 1.794 Å, I = 42, (2 0 3)
2θ 68.4, d = 1.372 Å, I = 28, (3 1 2)

=====

Record 2
This entry pairs a crystal structure of Cs2PdAu2 with its theoretical powder diffraction line list. Radiation: CuKα. Structure: a DFT-relaxed cell (GGA-PBE, Alexandria).

a b c (Å): 4.891 5.646 11.436
angles (deg): 90.00 90.00 90.00
Space group Immm (No. 71)
Asymmetric unit:
Cs1 0.000 0.000 0.196 x4
Pd1 0.000 0.500 0.000 x2
Au1 0.000 0.252 0.500 x4

Top 6 peaks for 5 to 70 degrees two-theta, sorted by position:
2θ 15.5, d = 5.718 Å, I = 55, (0 0 2)
2θ 28.8, d = 3.104 Å, I = 58, (1 1 2)
2θ 29.7, d = 3.007 Å, I = 69, (1 0 3)
2θ 36.8, d = 2.446 Å, I = 44, (2 0 0)
2θ 37.6, d = 2.391 Å, I = 100, (1 2 1)
2θ 55.0, d = 1.670 Å, I = 55, (1 2 5)

=====

Record 3
This entry pairs a crystal structure of TbC2N3 with its theoretical powder diffraction line list. Radiation: CuKα. Structure: a DFT-relaxed cell (GGA-PBE, Alexandria).

a b c (Å): 5.593 6.903 3.898
angles (deg): 90.00 90.00 90.00
Space group Cmm2 (No. 35)
Asymmetric unit:
Tb1 0.000 0.000 0.000 x2
C1 0.000 0.325 0.293 x4
N1 0.000 0.219 0.547 x4
N2 0.000 0.500 0.126 x2

Top 6 peaks for 5 to 70 degrees two-theta, sorted by position:
2θ 20.4, d = 4.346 Å, I = 100, (1 1 0)
2θ 22.8, d = 3.898 Å, I = 38, (0 0 1)
2θ 30.8, d = 2.902 Å, I = 84, (1 1 1)
2θ 32.0, d = 2.797 Å, I = 43, (2 0 0)
2θ 34.7, d = 2.584 Å, I = 54, (0 2 1)
2θ 47.9, d = 1.898 Å, I = 41, (2 2 1)

=====

Record 4
This entry pairs a crystal structure of DyTmGeAu with its theoretical powder diffraction line list. Radiation: CuKα. Structure: a DFT-relaxed cell (GGA-PBE, Alexandria).

a b c (Å): 4.291 4.027 10.850
angles (deg): 90.00 90.00 90.00
Space group Amm2 (No. 38)
Asymmetric unit:
Dy1 0.000 0.000 0.000 x2
Tm1 0.500 0.000 0.721 x2
Ge1 0.000 0.000 0.273 x2
Au1 0.500 0.000 0.445 x2

Top 6 peaks for 5 to 70 degrees two-theta, sorted by position:
2θ 31.6, d = 2.834 Å, I = 100, (1 1 1)
2θ 33.0, d = 2.713 Å, I = 30, (0 0 4)
2θ 33.3, d = 2.691 Å, I = 25, (0 1 3)
2θ 39.3, d = 2.293 Å, I = 21, (1 0 4)
2θ 39.5, d = 2.280 Å, I = 63, (1 1 3)
2θ 42.1, d = 2.145 Å, I = 25, (2 0 0)